(1)
CsGaO2: computed X-ray powder pattern (a wavelength of 1.5418 Å), based on a PBE-relaxed structure.
No peak broadening, texture or thermal motion is included.

Cell and atoms:
a = 6.0165 Å, b = 6.0165 Å, c = 6.0165 Å
α = 60.00°, β = 60.00°, γ = 60.00°
Atoms (fractional coordinates):
Cs 0.1250 0.1250 0.1250
Cs 0.8750 0.8750 0.8750
Ga 0.3750 0.3750 0.3750
Ga 0.6250 0.6250 0.6250
O 0.0000 0.5000 0.5000
O 0.5000 0.0000 0.5000
O 0.5000 0.5000 0.0000
O 0.5000 0.5000 0.5000

Most intense lines, 5° ≤ 2θ ≤ 70°, in order of falling intensity:
- 2θ = 29.70°, I = 100.0
- 2θ = 52.70°, I = 39.1
- 2θ = 69.92°, I = 16.7
- 2θ = 61.67°, I = 15.5
- 2θ = 42.50°, I = 13.2
- 2θ = 34.98°, I = 9.8



(2)
Cs3GaO3: computed X-ray powder pattern (a wavelength of 1.5418 Å), based on a PBE-relaxed structure.
No peak broadening, texture or thermal motion is included.

Cell and atoms:
a = 8.1096 Å, b = 7.2626 Å, c = 11.6067 Å
α = 90.00°, β = 96.92°, γ = 90.00°
Atoms (fractional coordinates):
Cs 0.0446 0.1271 0.1553
Cs 0.0446 0.3729 0.6553
Cs 0.3434 0.1712 0.9273
Cs 0.3434 0.3288 0.4273
Cs 0.3720 0.6785 0.8044
Cs 0.3720 0.8215 0.3044
Cs 0.6280 0.1785 0.6956
Cs 0.6280 0.3215 0.1956
Cs 0.6566 0.6712 0.5727
Cs 0.6566 0.8288 0.0727
Cs 0.9554 0.6271 0.3447
Cs 0.9554 0.8729 0.8447
Ga 0.1481 0.5776 0.0634
Ga 0.1481 0.9224 0.5634
Ga 0.8519 0.0776 0.4366
Ga 0.8519 0.4224 0.9366
O 0.0910 0.0566 0.4170
O 0.0910 0.4434 0.9170
O 0.2326 0.6877 0.5392
O 0.2326 0.8123 0.0392
O 0.2793 0.0504 0.6800
O 0.2793 0.4496 0.1800
O 0.7207 0.5504 0.8200
O 0.7207 0.9496 0.3200
O 0.7674 0.1877 0.9608
O 0.7674 0.3123 0.4608
O 0.9090 0.5566 0.0830
O 0.9090 0.9434 0.5830

Most intense lines, 5° ≤ 2θ ≤ 70°, in order of falling intensity:
- 2θ = 28.42°, I = 100.0
- 2θ = 33.45°, I = 72.5
- 2θ = 28.28°, I = 72.5
- 2θ = 28.54°, I = 47.4
- 2θ = 27.40°, I = 47.0
- 2θ = 23.49°, I = 23.4



(3)
Cs3GaO3: computed X-ray powder pattern (a wavelength of 1.5418 Å), based on a PBE-relaxed structure.
No peak broadening, texture or thermal motion is included.

Cell and atoms:
a = 9.3301 Å, b = 9.3301 Å, c = 9.3301 Å
α = 90.00°, β = 90.00°, γ = 90.00°
Atoms (fractional coordinates):
Cs 0.0101 0.0101 0.0101
Cs 0.2222 0.2778 0.7222
Cs 0.2450 0.7450 0.7550
Cs 0.2550 0.2550 0.2550
Cs 0.2778 0.7222 0.2222
Cs 0.4899 0.9899 0.5101
Cs 0.5101 0.4899 0.9899
Cs 0.7222 0.2222 0.2778
Cs 0.7450 0.7550 0.2450
Cs 0.7550 0.2450 0.7450
Cs 0.7778 0.7778 0.7778
Cs 0.9899 0.5101 0.4899
Ga 0.0352 0.5352 0.9648
Ga 0.4648 0.4648 0.4648
Ga 0.5352 0.9648 0.0352
Ga 0.9648 0.0352 0.5352
O 0.0142 0.1997 0.4436
O 0.0564 0.9858 0.6997
O 0.1997 0.4436 0.0142
O 0.3003 0.5564 0.5142
O 0.4436 0.0142 0.1997
O 0.4858 0.8003 0.9436
O 0.5142 0.3003 0.5564
O 0.5564 0.5142 0.3003
O 0.6997 0.0564 0.9858
O 0.8003 0.9436 0.4858
O 0.9436 0.4858 0.8003
O 0.9858 0.6997 0.0564

Most intense lines, 5° ≤ 2θ ≤ 70°, in order of falling intensity:
- 2θ = 27.03°, I = 100.0
- 2θ = 47.76°, I = 32.0
- 2θ = 38.60°, I = 19.4
- 2θ = 63.01°, I = 10.9
- 2θ = 55.73°, I = 9.6
- 2θ = 36.02°, I = 5.6